ReH2NO2: theoretical X-ray diffraction stick pattern (Cu Ka), based on a crystal structure in Alexandria, relaxed with GGA-PBE.

Top 6 peaks for 10 to 90 degrees two-theta, by angle:
| index | 2theta | intensity |
| --- | --- | --- |
| 1 0 1 | 15.31 | 100.0 |
| 1 0 3 | 24.05 | 36.7 |
| 0 0 4 | 26.18 | 50.3 |
| 2 0 2 | 30.90 | 67.6 |
| 2 2 0 | 39.88 | 27.6 |
| 2 2 4 | 48.33 | 31.2 |

Atomic structure:
```
data_ReH2NO2
_chemical_formula_sum 'Re8 H16 N8 O16'
_space_group_name_H-M_alt 'I 41/a'
_space_group_IT_number 88
_cell_length_a 6.393
_cell_length_b 6.393
_cell_length_c 13.617
_cell_angle_alpha 90.00
_cell_angle_beta 90.00
_cell_angle_gamma 90.00
loop_
_space_group_symop_operation_xyz
'x,y,z'
'-x,-y,-z'
'-y+3/4,x+1/4,z+1/4'
'y+3/4,-x+1/4,-z+1/4'
'-x+1/2,-y,z+1/2'
'x+1/2,y,-z+1/2'
'y+3/4,-x+3/4,z+3/4'
'-y+3/4,x+3/4,-z+3/4'
'x+1/2,y+1/2,z+1/2'
'-x+1/2,-y+1/2,-z+1/2'
'-y+1/4,x+3/4,z+3/4'
'y+1/4,-x+3/4,-z+3/4'
'-x,-y+1/2,z'
'x,y+1/2,-z'
'y+1/4,-x+1/4,z+1/4'
'-y+1/4,x+1/4,-z+1/4'
loop_
_atom_site_label
_atom_site_type_symbol
_atom_site_fract_x
_atom_site_fract_y
_atom_site_fract_z
Re1 Re 0.000 0.000 0.000
H1 H 0.096 0.372 0.507
N1 N 0.000 0.000 0.500
O1 O 0.007 0.071 0.253
```